This entry pairs a crystal structure of Fe5Mo4 with its computed X-ray powder pattern. Radiation: Cu Kα, 1.54184 Å. Structure: a cell relaxed with GGA-PBE.

Largest 12 diffraction maxima, in order of rising 2θ, 10° ≤ 2θ ≤ 80°:
14.1 deg, 6.279 Å, I 6
28.4 deg, 3.140 Å, I 4
30.6 deg, 2.923 Å, I 1
36.8 deg, 2.441 Å, I 5
42.2 deg, 2.139 Å, I 100
43.2 deg, 2.093 Å, I 46
52.5 deg, 1.742 Å, I 1
59.7 deg, 1.548 Å, I 8
62.8 deg, 1.480 Å, I 14
64.0 deg, 1.455 Å, I 2
76.6 deg, 1.244 Å, I 16
78.6 deg, 1.217 Å, I 29

Structural model:
Cell: 6.467 6.467 6.467 Å, 93.28 93.28 152.31°
Atoms (fractional coordinates):
Fe (0.000, 0.000, 0.000)
Fe (0.335, 0.335, 0.670)
Fe (0.335, 0.665, 0.000)
Fe (0.665, 0.335, 0.000)
Fe (0.665, 0.665, 0.330)
Mo (0.000, 0.327, 0.327)
Mo (0.000, 0.673, 0.673)
Mo (0.327, 0.000, 0.327)
Mo (0.673, 0.000, 0.673)

This entry pairs a crystal structure of AlAsOs2 with its computed X-ray powder pattern. Radiation: Cu Kα, 1.54184 Å. Structure: a cell relaxed with GGA-PBE.

Largest 12 diffraction maxima, in order of rising 2θ, 10° ≤ 2θ ≤ 80°:
11.3 deg, 7.803 Å, I 100
33.8 deg, 2.652 Å, I 17
39.4 deg, 2.285 Å, I 92
45.5 deg, 1.994 Å, I 32
46.6 deg, 1.951 Å, I 13
47.0 deg, 1.932 Å, I 13
47.6 deg, 1.912 Å, I 20
66.3 deg, 1.410 Å, I 11
67.1 deg, 1.394 Å, I 17
67.5 deg, 1.387 Å, I 5
77.7 deg, 1.229 Å, I 7
79.9 deg, 1.200 Å, I 24

Structural model:
Cell: 2.820 2.820 7.803 Å, 90.00 90.00 90.00°
Atoms (fractional coordinates):
Al (0.000, 0.000, 0.000)
As (0.500, 0.500, 0.295)
Os (0.000, 0.000, 0.547)
Os (0.500, 0.500, 0.768)

This entry pairs a crystal structure of InPCl with its computed X-ray powder pattern. Radiation: Cu Kα, 1.54184 Å. Structure: a cell relaxed with GGA-PBE.

Largest 12 diffraction maxima, in order of rising 2θ, 10° ≤ 2θ ≤ 80°:
16.7 deg, 5.303 Å, I 26
18.1 deg, 4.892 Å, I 99
23.0 deg, 3.871 Å, I 96
26.0 deg, 3.421 Å, I 33
28.3 deg, 3.156 Å, I 78
30.9 deg, 2.897 Å, I 49
33.0 deg, 2.716 Å, I 33
36.7 deg, 2.447 Å, I 71
37.7 deg, 2.389 Å, I 100
44.5 deg, 2.036 Å, I 39
47.0 deg, 1.933 Å, I 58
50.1 deg, 1.822 Å, I 36

Structural model:
Cell: 8.169 8.169 8.169 Å, 45.44 45.44 45.44°
Atoms (fractional coordinates):
In (0.000, 0.000, 0.000)
In (0.198, 0.198, 0.198)
In (0.709, 0.709, 0.709)
P (0.397, 0.589, 0.817)
P (0.589, 0.817, 0.397)
P (0.817, 0.397, 0.589)
Cl (0.106, 0.771, 0.423)
Cl (0.423, 0.106, 0.771)
Cl (0.771, 0.423, 0.106)